Calculated powder XRD pattern
Compound: RbLiGeSe3
Radiation: λ = 1.5418 Å (Cu Kα)
Structure: a crystal structure in Alexandria, relaxed with PBE
Intensities are scaled so that the largest is 100.

Most intense lines, 10° ≤ 2θ ≤ 90°, by angle:
| two_theta | I_rel |
| --- | --- |
| 17.58 | 21 |
| 17.71 | 37 |
| 19.12 | 20 |
| 20.66 | 38 |
| 25.69 | 43 |
| 26.12 | 100 |
| 29.01 | 26 |
| 29.30 | 23 |
| 32.60 | 19 |
| 33.83 | 30 |
| 45.89 | 24 |
| 55.30 | 25 |

```
data_RbLiGeSe3
_chemical_formula_sum 'Rb2 Li2 Ge2 Se6'
_space_group_name_H-M_alt 'P 1'
_space_group_IT_number 1
_cell_length_a 7.033
_cell_length_b 7.033
_cell_length_c 8.827
_cell_angle_alpha 99.08
_cell_angle_beta 99.08
_cell_angle_gamma 91.69
loop_
_space_group_symop_operation_xyz
'x,y,z'
loop_
_atom_site_label
_atom_site_type_symbol
_atom_site_fract_x
_atom_site_fract_y
_atom_site_fract_z
_atom_site_occupancy
Rb1 Rb 0.200 0.200 0.163 1
Rb2 Rb 0.800 0.800 0.837 1
Li1 Li 0.290 0.710 0.500 1
Li2 Li 0.710 0.290 0.500 1
Ge1 Ge 0.185 0.185 0.700 1
Ge2 Ge 0.815 0.815 0.300 1
Se1 Se 0.097 0.714 0.225 1
Se2 Se 0.286 0.903 0.775 1
Se3 Se 0.358 0.358 0.564 1
Se4 Se 0.642 0.642 0.436 1
Se5 Se 0.714 0.097 0.225 1
Se6 Se 0.903 0.286 0.775 1
```



Calculated powder XRD pattern
Compound: EuAlH
Radiation: λ = 1.5418 Å (Cu Kα)
Structure: a crystal structure in Alexandria, relaxed with PBE
Intensities are scaled so that the largest is 100.

Most intense lines, 10° ≤ 2θ ≤ 90°, by angle:
| two_theta | I_rel |
| --- | --- |
| 10.42 | 43 |
| 24.39 | 85 |
| 28.50 | 66 |
| 30.54 | 62 |
| 31.62 | 43 |
| 38.75 | 24 |
| 39.37 | 100 |
| 44.85 | 17 |
| 47.09 | 21 |
| 54.00 | 24 |
| 55.90 | 17 |
| 61.56 | 23 |

```
data_EuAlH
_chemical_formula_sum 'Eu4 Al4 H4'
_space_group_name_H-M_alt 'P 1'
_space_group_IT_number 1
_cell_length_a 3.187
_cell_length_b 16.979
_cell_length_c 4.042
_cell_angle_alpha 90.00
_cell_angle_beta 90.00
_cell_angle_gamma 90.00
loop_
_space_group_symop_operation_xyz
'x,y,z'
loop_
_atom_site_label
_atom_site_type_symbol
_atom_site_fract_x
_atom_site_fract_y
_atom_site_fract_z
_atom_site_occupancy
Eu1 Eu 0.000 0.083 0.250 1
Eu2 Eu 0.000 0.917 0.750 1
Eu3 Eu 0.500 0.417 0.750 1
Eu4 Eu 0.500 0.583 0.250 1
Al1 Al 0.000 0.233 0.750 1
Al2 Al 0.000 0.767 0.250 1
Al3 Al 0.500 0.267 0.250 1
Al4 Al 0.500 0.733 0.750 1
H1 H 0.000 0.457 0.250 1
H2 H 0.000 0.543 0.750 1
H3 H 0.500 0.043 0.750 1
H4 H 0.500 0.957 0.250 1
```



Calculated powder XRD pattern
Compound: Sr4PSe2Cl
Radiation: λ = 1.5418 Å (Cu Kα)
Structure: a crystal structure in Alexandria, relaxed with PBE
Intensities are scaled so that the largest is 100.

Most intense lines, 10° ≤ 2θ ≤ 90°, by angle:
| two_theta | I_rel |
| --- | --- |
| 24.61 | 12 |
| 28.06 | 50 |
| 28.71 | 100 |
| 40.58 | 72 |
| 41.05 | 37 |
| 50.46 | 37 |
| 59.45 | 12 |
| 65.99 | 14 |
| 67.00 | 16 |
| 67.33 | 17 |
| 73.51 | 10 |
| 74.46 | 23 |

```
data_Sr4PSe2Cl
_chemical_formula_sum 'Sr8 P2 Se4 Cl2'
_space_group_name_H-M_alt 'P 1'
_space_group_IT_number 1
_cell_length_a 6.220
_cell_length_b 6.220
_cell_length_c 12.719
_cell_angle_alpha 90.00
_cell_angle_beta 90.00
_cell_angle_gamma 90.00
loop_
_space_group_symop_operation_xyz
'x,y,z'
loop_
_atom_site_label
_atom_site_type_symbol
_atom_site_fract_x
_atom_site_fract_y
_atom_site_fract_z
_atom_site_occupancy
Sr1 Sr 0.000 0.000 0.232 1
Sr2 Sr 0.000 0.000 0.768 1
Sr3 Sr 0.000 0.500 0.000 1
Sr4 Sr 0.000 0.500 0.500 1
Sr5 Sr 0.500 0.000 0.000 1
Sr6 Sr 0.500 0.000 0.500 1
Sr7 Sr 0.500 0.500 0.268 1
Sr8 Sr 0.500 0.500 0.732 1
P1 P 0.000 0.000 0.000 1
P2 P 0.500 0.500 0.500 1
Se1 Se 0.000 0.500 0.250 1
Se2 Se 0.000 0.500 0.750 1
Se3 Se 0.500 0.000 0.250 1
Se4 Se 0.500 0.000 0.750 1
Cl1 Cl 0.000 0.000 0.500 1
Cl2 Cl 0.500 0.500 0.000 1
```



Calculated powder XRD pattern
Compound: Cs2RhF7
Radiation: λ = 1.5418 Å (Cu Kα)
Structure: a crystal structure in Alexandria, relaxed with PBE
Intensities are scaled so that the largest is 100.

Most intense lines, 10° ≤ 2θ ≤ 90°, by angle:
| two_theta | I_rel |
| --- | --- |
| 22.40 | 100 |
| 23.57 | 48 |
| 27.51 | 51 |
| 28.23 | 28 |
| 34.39 | 31 |
| 35.22 | 13 |
| 37.09 | 28 |
| 37.33 | 27 |
| 48.21 | 14 |
| 52.22 | 14 |
| 56.08 | 16 |
| 56.80 | 17 |

```
data_Cs2RhF7
_chemical_formula_sum 'Cs4 Rh2 F14'
_space_group_name_H-M_alt 'P 1'
_space_group_IT_number 1
_cell_length_a 8.188
_cell_length_b 8.188
_cell_length_c 10.971
_cell_angle_alpha 127.60
_cell_angle_beta 127.60
_cell_angle_gamma 45.43
loop_
_space_group_symop_operation_xyz
'x,y,z'
loop_
_atom_site_label
_atom_site_type_symbol
_atom_site_fract_x
_atom_site_fract_y
_atom_site_fract_z
_atom_site_occupancy
Cs1 Cs 0.129 0.207 0.072 1
Cs2 Cs 0.207 0.129 0.572 1
Cs3 Cs 0.793 0.871 0.428 1
Cs4 Cs 0.871 0.793 0.928 1
Rh1 Rh 0.474 0.526 0.750 1
Rh2 Rh 0.526 0.474 0.250 1
F1 F 0.164 0.836 0.750 1
F2 F 0.205 0.659 0.268 1
F3 F 0.303 0.542 0.829 1
F4 F 0.317 0.377 0.521 1
F5 F 0.341 0.795 0.232 1
F6 F 0.377 0.317 0.021 1
F7 F 0.458 0.697 0.671 1
F8 F 0.542 0.303 0.329 1
F9 F 0.623 0.683 0.979 1
F10 F 0.659 0.205 0.768 1
F11 F 0.683 0.623 0.479 1
F12 F 0.697 0.458 0.171 1
F13 F 0.795 0.341 0.732 1
F14 F 0.836 0.164 0.250 1
```



Calculated powder XRD pattern
Compound: Tl2OsO3
Radiation: λ = 1.5418 Å (Cu Kα)
Structure: a crystal structure in Alexandria, relaxed with PBE
Intensities are scaled so that the largest is 100.

Most intense lines, 10° ≤ 2θ ≤ 90°, by angle:
| two_theta | I_rel |
| --- | --- |
| 26.16 | 95 |
| 29.39 | 62 |
| 30.07 | 100 |
| 31.36 | 93 |
| 39.74 | 71 |
| 45.23 | 20 |
| 50.37 | 37 |
| 52.57 | 28 |
| 53.37 | 20 |
| 54.86 | 26 |
| 56.07 | 35 |
| 67.64 | 18 |

```
data_Tl2OsO3
_chemical_formula_sum 'Tl4 Os2 O6'
_space_group_name_H-M_alt 'P 1'
_space_group_IT_number 1
_cell_length_a 6.827
_cell_length_b 6.827
_cell_length_c 6.078
_cell_angle_alpha 90.00
_cell_angle_beta 90.00
_cell_angle_gamma 56.50
loop_
_space_group_symop_operation_xyz
'x,y,z'
loop_
_atom_site_label
_atom_site_type_symbol
_atom_site_fract_x
_atom_site_fract_y
_atom_site_fract_z
_atom_site_occupancy
Tl1 Tl 0.037 0.290 0.250 1
Tl2 Tl 0.290 0.037 0.750 1
Tl3 Tl 0.710 0.963 0.250 1
Tl4 Tl 0.963 0.710 0.750 1
Os1 Os 0.436 0.564 0.250 1
Os2 Os 0.564 0.436 0.750 1
O1 O 0.155 0.845 0.250 1
O2 O 0.400 0.400 0.000 1
O3 O 0.400 0.400 0.500 1
O4 O 0.600 0.600 0.000 1
O5 O 0.600 0.600 0.500 1
O6 O 0.845 0.155 0.750 1
```



Calculated powder XRD pattern
Compound: Cs4AgBi2
Radiation: λ = 1.5418 Å (Cu Kα)
Structure: a crystal structure in Alexandria, relaxed with PBE
Intensities are scaled so that the largest is 100.

Most intense lines, 10° ≤ 2θ ≤ 90°, by angle:
| two_theta | I_rel |
| --- | --- |
| 15.79 | 40 |
| 24.73 | 53 |
| 27.11 | 100 |
| 31.68 | 19 |
| 34.17 | 21 |
| 37.02 | 20 |
| 42.03 | 15 |
| 46.49 | 19 |
| 47.91 | 21 |
| 50.88 | 13 |
| 52.59 | 12 |
| 55.91 | 13 |

```
data_Cs4AgBi2
_chemical_formula_sum 'Cs4 Ag1 Bi2'
_space_group_name_H-M_alt 'P 1'
_space_group_IT_number 1
_cell_length_a 11.485
_cell_length_b 11.485
_cell_length_c 11.485
_cell_angle_alpha 33.28
_cell_angle_beta 33.28
_cell_angle_gamma 33.28
loop_
_space_group_symop_operation_xyz
'x,y,z'
loop_
_atom_site_label
_atom_site_type_symbol
_atom_site_fract_x
_atom_site_fract_y
_atom_site_fract_z
_atom_site_occupancy
Cs1 Cs 0.127 0.127 0.127 1
Cs2 Cs 0.293 0.293 0.293 1
Cs3 Cs 0.707 0.707 0.707 1
Cs4 Cs 0.873 0.873 0.873 1
Ag1 Ag 0.500 0.500 0.500 1
Bi1 Bi 0.415 0.415 0.415 1
Bi2 Bi 0.585 0.585 0.585 1
```



Calculated powder XRD pattern
Compound: V6Ga5Pt
Radiation: λ = 1.5418 Å (Cu Kα)
Structure: a crystal structure in Alexandria, relaxed with PBE
Intensities are scaled so that the largest is 100.

Most intense lines, 10° ≤ 2θ ≤ 90°, by angle:
| two_theta | I_rel |
| --- | --- |
| 13.61 | 14 |
| 22.14 | 10 |
| 40.84 | 100 |
| 45.16 | 19 |
| 48.11 | 16 |
| 49.21 | 14 |
| 68.12 | 11 |
| 69.00 | 10 |
| 80.41 | 13 |
| 84.73 | 11 |
| 86.38 | 10 |
| 88.51 | 10 |

```
data_V6Ga5Pt
_chemical_formula_sum 'V6 Ga5 Pt1'
_space_group_name_H-M_alt 'P 1'
_space_group_IT_number 1
_cell_length_a 7.110
_cell_length_b 7.110
_cell_length_c 7.110
_cell_angle_alpha 149.15
_cell_angle_beta 111.23
_cell_angle_gamma 77.25
loop_
_space_group_symop_operation_xyz
'x,y,z'
loop_
_atom_site_label
_atom_site_type_symbol
_atom_site_fract_x
_atom_site_fract_y
_atom_site_fract_z
_atom_site_occupancy
V1 V 0.074 0.330 0.744 1
V2 V 0.240 0.000 0.240 1
V3 V 0.413 0.670 0.744 1
V4 V 0.587 0.330 0.256 1
V5 V 0.760 0.000 0.760 1
V6 V 0.926 0.670 0.256 1
Ga1 Ga 0.000 0.500 0.500 1
Ga2 Ga 0.170 0.170 0.000 1
Ga3 Ga 0.343 0.843 0.500 1
Ga4 Ga 0.657 0.157 0.500 1
Ga5 Ga 0.830 0.830 0.000 1
Pt1 Pt 0.500 0.500 0.000 1
```



Calculated powder XRD pattern
Compound: Tm3BiTe
Radiation: λ = 1.5418 Å (Cu Kα)
Structure: a crystal structure in Alexandria, relaxed with PBE
Intensities are scaled so that the largest is 100.

Most intense lines, 10° ≤ 2θ ≤ 90°, by angle:
| two_theta | I_rel |
| --- | --- |
| 28.18 | 18 |
| 29.62 | 20 |
| 30.63 | 100 |
| 32.23 | 76 |
| 33.79 | 98 |
| 35.20 | 65 |
| 36.72 | 29 |
| 38.70 | 19 |
| 42.04 | 28 |
| 56.38 | 16 |
| 59.47 | 19 |
| 62.25 | 18 |

```
data_Tm3BiTe
_chemical_formula_sum 'Tm12 Bi4 Te4'
_space_group_name_H-M_alt 'P 1'
_space_group_IT_number 1
_cell_length_a 8.709
_cell_length_b 6.334
_cell_length_c 10.629
_cell_angle_alpha 90.00
_cell_angle_beta 104.57
_cell_angle_gamma 90.00
loop_
_space_group_symop_operation_xyz
'x,y,z'
loop_
_atom_site_label
_atom_site_type_symbol
_atom_site_fract_x
_atom_site_fract_y
_atom_site_fract_z
_atom_site_occupancy
Tm1 Tm 0.035 0.110 0.295 1
Tm2 Tm 0.035 0.390 0.795 1
Tm3 Tm 0.172 0.636 0.523 1
Tm4 Tm 0.172 0.864 0.023 1
Tm5 Tm 0.414 0.191 0.880 1
Tm6 Tm 0.414 0.309 0.380 1
Tm7 Tm 0.586 0.691 0.620 1
Tm8 Tm 0.586 0.809 0.120 1
Tm9 Tm 0.828 0.136 0.977 1
Tm10 Tm 0.828 0.364 0.477 1
Tm11 Tm 0.965 0.610 0.205 1
Tm12 Tm 0.965 0.890 0.705 1
Bi1 Bi 0.350 0.684 0.824 1
Bi2 Bi 0.350 0.816 0.324 1
Bi3 Bi 0.650 0.184 0.676 1
Bi4 Bi 0.650 0.316 0.176 1
Te1 Te 0.186 0.163 0.591 1
Te2 Te 0.186 0.337 0.091 1
Te3 Te 0.814 0.663 0.909 1
Te4 Te 0.814 0.837 0.409 1
```



Calculated powder XRD pattern
Compound: ErNiGe
Radiation: λ = 1.5418 Å (Cu Kα)
Structure: a crystal structure in Alexandria, relaxed with PBE
Intensities are scaled so that the largest is 100.

Most intense lines, 10° ≤ 2θ ≤ 90°, by angle:
| two_theta | I_rel |
| --- | --- |
| 24.42 | 22 |
| 35.18 | 38 |
| 35.95 | 100 |
| 36.05 | 40 |
| 39.55 | 12 |
| 41.39 | 16 |
| 42.89 | 31 |
| 43.16 | 42 |
| 57.24 | 21 |
| 59.58 | 14 |
| 69.89 | 18 |
| 74.04 | 12 |

```
data_ErNiGe
_chemical_formula_sum 'Er4 Ni4 Ge4'
_space_group_name_H-M_alt 'P 1'
_space_group_IT_number 1
_cell_length_a 6.862
_cell_length_b 4.217
_cell_length_c 7.247
_cell_angle_alpha 90.00
_cell_angle_beta 90.00
_cell_angle_gamma 90.00
loop_
_space_group_symop_operation_xyz
'x,y,z'
loop_
_atom_site_label
_atom_site_type_symbol
_atom_site_fract_x
_atom_site_fract_y
_atom_site_fract_z
_atom_site_occupancy
Er1 Er 0.008 0.250 0.206 1
Er2 Er 0.492 0.750 0.706 1
Er3 Er 0.508 0.250 0.294 1
Er4 Er 0.992 0.750 0.794 1
Ni1 Ni 0.193 0.750 0.418 1
Ni2 Ni 0.307 0.250 0.918 1
Ni3 Ni 0.693 0.750 0.082 1
Ni4 Ni 0.807 0.250 0.582 1
Ge1 Ge 0.197 0.250 0.589 1
Ge2 Ge 0.303 0.750 0.089 1
Ge3 Ge 0.697 0.250 0.911 1
Ge4 Ge 0.803 0.750 0.411 1
```



Calculated powder XRD pattern
Compound: Dy3Y4Tl4
Radiation: λ = 1.5418 Å (Cu Kα)
Structure: a crystal structure in Alexandria, relaxed with PBE
Intensities are scaled so that the largest is 100.

Most intense lines, 10° ≤ 2θ ≤ 90°, by angle:
| two_theta | I_rel |
| --- | --- |
| 30.96 | 100 |
| 31.58 | 48 |
| 32.35 | 94 |
| 34.23 | 40 |
| 34.53 | 55 |
| 37.64 | 27 |
| 38.54 | 34 |
| 46.21 | 28 |
| 49.31 | 23 |
| 57.83 | 40 |
| 59.75 | 23 |
| 63.65 | 39 |

```
data_Dy3Y4Tl4
_chemical_formula_sum 'Dy3 Y4 Tl4'
_space_group_name_H-M_alt 'P 1'
_space_group_IT_number 1
_cell_length_a 10.605
_cell_length_b 10.605
_cell_length_c 10.605
_cell_angle_alpha 159.93
_cell_angle_beta 126.43
_cell_angle_gamma 57.79
loop_
_space_group_symop_operation_xyz
'x,y,z'
loop_
_atom_site_label
_atom_site_type_symbol
_atom_site_fract_x
_atom_site_fract_y
_atom_site_fract_z
_atom_site_occupancy
Dy1 Dy 0.000 0.000 0.000 1
Dy2 Dy 0.403 0.903 0.500 1
Dy3 Dy 0.597 0.097 0.500 1
Y1 Y 0.027 0.336 0.691 1
Y2 Y 0.355 0.664 0.691 1
Y3 Y 0.645 0.336 0.309 1
Y4 Y 0.973 0.664 0.309 1
Tl1 Tl 0.267 0.267 0.000 1
Tl2 Tl 0.279 0.500 0.779 1
Tl3 Tl 0.721 0.500 0.221 1
Tl4 Tl 0.733 0.733 0.000 1
```



Calculated powder XRD pattern
Compound: Sc3NbC4
Radiation: λ = 1.5418 Å (Cu Kα)
Structure: a crystal structure in Alexandria, relaxed with PBE
Intensities are scaled so that the largest is 100.

Most intense lines, 10° ≤ 2θ ≤ 90°, by angle:
| two_theta | I_rel |
| --- | --- |
| 13.60 | 11 |
| 16.59 | 15 |
| 21.53 | 16 |
| 33.53 | 34 |
| 33.66 | 100 |
| 38.94 | 46 |
| 39.06 | 90 |
| 56.29 | 41 |
| 56.45 | 41 |
| 67.19 | 22 |
| 67.36 | 26 |
| 70.76 | 20 |

```
data_Sc3NbC4
_chemical_formula_sum 'Sc6 Nb2 C8'
_space_group_name_H-M_alt 'P 1'
_space_group_IT_number 1
_cell_length_a 5.672
_cell_length_b 6.513
_cell_length_c 5.652
_cell_angle_alpha 90.00
_cell_angle_beta 109.55
_cell_angle_gamma 90.00
loop_
_space_group_symop_operation_xyz
'x,y,z'
loop_
_atom_site_label
_atom_site_type_symbol
_atom_site_fract_x
_atom_site_fract_y
_atom_site_fract_z
_atom_site_occupancy
Sc1 Sc 0.000 0.124 0.250 1
Sc2 Sc 0.000 0.375 0.750 1
Sc3 Sc 0.000 0.625 0.250 1
Sc4 Sc 0.000 0.876 0.750 1
Sc5 Sc 0.500 0.375 0.250 1
Sc6 Sc 0.500 0.625 0.750 1
Nb1 Nb 0.500 0.127 0.750 1
Nb2 Nb 0.500 0.873 0.250 1
C1 C 0.255 0.365 0.510 1
C2 C 0.255 0.635 0.010 1
C3 C 0.263 0.119 0.998 1
C4 C 0.263 0.881 0.498 1
C5 C 0.737 0.119 0.502 1
C6 C 0.737 0.881 0.002 1
C7 C 0.745 0.365 0.990 1
C8 C 0.745 0.635 0.490 1
```



Calculated powder XRD pattern
Compound: PaGaHPt
Radiation: λ = 1.5418 Å (Cu Kα)
Structure: a crystal structure in Alexandria, relaxed with PBE
Intensities are scaled so that the largest is 100.

Most intense lines, 10° ≤ 2θ ≤ 90°, by angle:
| two_theta | I_rel |
| --- | --- |
| 23.11 | 18 |
| 33.67 | 100 |
| 40.59 | 53 |
| 47.23 | 3 |
| 49.46 | 10 |
| 53.73 | 27 |
| 55.27 | 4 |
| 65.84 | 26 |
| 69.46 | 26 |
| 73.86 | 9 |
| 82.41 | 8 |
| 87.86 | 6 |

```
data_PaGaHPt
_chemical_formula_sum 'Pa1 Ga1 H1 Pt1'
_space_group_name_H-M_alt 'P 1'
_space_group_IT_number 1
_cell_length_a 4.445
_cell_length_b 4.445
_cell_length_c 3.685
_cell_angle_alpha 90.00
_cell_angle_beta 90.00
_cell_angle_gamma 120.00
loop_
_space_group_symop_operation_xyz
'x,y,z'
loop_
_atom_site_label
_atom_site_type_symbol
_atom_site_fract_x
_atom_site_fract_y
_atom_site_fract_z
_atom_site_occupancy
Pa1 Pa 0.000 0.000 0.000 1
Ga1 Ga 0.333 0.667 0.500 1
H1 H 0.667 0.333 0.000 1
Pt1 Pt 0.667 0.333 0.500 1
```



Calculated powder XRD pattern
Compound: Ce2Rh3Au4
Radiation: λ = 1.5418 Å (Cu Kα)
Structure: a crystal structure in Alexandria, relaxed with PBE
Intensities are scaled so that the largest is 100.

Most intense lines, 10° ≤ 2θ ≤ 90°, by angle:
| two_theta | I_rel |
| --- | --- |
| 36.84 | 100 |
| 37.59 | 93 |
| 37.91 | 46 |
| 45.45 | 27 |
| 45.99 | 27 |
| 59.58 | 12 |
| 61.07 | 23 |
| 66.65 | 18 |
| 67.29 | 17 |
| 68.76 | 15 |
| 78.39 | 11 |
| 79.05 | 11 |

```
data_Ce2Rh3Au4
_chemical_formula_sum 'Ce2 Rh3 Au4'
_space_group_name_H-M_alt 'P 1'
_space_group_IT_number 1
_cell_length_a 5.570
_cell_length_b 5.570
_cell_length_c 9.161
_cell_angle_alpha 114.81
_cell_angle_beta 114.81
_cell_angle_gamma 41.50
loop_
_space_group_symop_operation_xyz
'x,y,z'
loop_
_atom_site_label
_atom_site_type_symbol
_atom_site_fract_x
_atom_site_fract_y
_atom_site_fract_z
_atom_site_occupancy
Ce1 Ce 0.170 0.170 0.235 1
Ce2 Ce 0.830 0.830 0.765 1
Rh1 Rh 0.180 0.180 0.567 1
Rh2 Rh 0.500 0.500 0.000 1
Rh3 Rh 0.820 0.820 0.433 1
Au1 Au 0.162 0.162 0.891 1
Au2 Au 0.500 0.500 0.344 1
Au3 Au 0.500 0.500 0.656 1
Au4 Au 0.838 0.838 0.109 1
```